No. 1
Simulated powder XRD pattern
Compound: CaNd12Y7
Radiation: Cu Ka
Structure: the PBE geometry in Alexandria
Lines closer than 0.1° are merged.

The 8 most intense peaks (2θ from 5° to 70°), low angle first:
2theta, I (rel.)
15.16, 36
26.42, 94
30.60, 100
34.31, 20
43.82, 71
51.90, 39
54.39, 24
63.70, 11

Atomic structure:
Lattice parameters (Å, degrees): 10.1213 10.1213 10.1213 109.47 109.47 109.47
Positions (direct):
1 Ca 0.0000 0.0000 0.0000
2 Nd 0.0008 0.7384 0.2624
3 Nd 0.2624 0.0008 0.7384
4 Nd 0.2616 0.2624 0.5240
5 Nd 0.2624 0.5240 0.2616
6 Nd 0.2616 0.7376 0.9992
7 Nd 0.4760 0.7384 0.7376
8 Nd 0.5240 0.2616 0.2624
9 Nd 0.7384 0.2624 0.0008
10 Nd 0.7376 0.4760 0.7384
11 Nd 0.7384 0.7376 0.4760
12 Nd 0.7376 0.9992 0.2616
13 Nd 0.9992 0.2616 0.7376
14 Y 0.0000 0.0000 0.5000
15 Y 0.0000 0.5000 0.0000
16 Y 0.0000 0.5000 0.5000
17 Y 0.5000 0.0000 0.0000
18 Y 0.5000 0.0000 0.5000
19 Y 0.5000 0.5000 0.0000
20 Y 0.5000 0.5000 0.5000

No. 2
Simulated powder XRD pattern
Compound: Mg2BiAsIr
Radiation: Cu Ka
Structure: the PBE geometry in Alexandria
Lines closer than 0.1° are merged.

The 8 most intense peaks (2θ from 5° to 70°), low angle first:
2theta, I (rel.)
15.65, 62
26.64, 95
31.04, 100
31.60, 48
38.03, 59
41.79, 59
50.25, 53
64.39, 26

Atomic structure:
Lattice parameters (Å, degrees): 4.7324 4.7324 5.6623 90.00 90.00 90.00
Positions (direct):
1 Mg 0.0000 0.5000 0.0000
2 Mg 0.5000 0.0000 0.0000
3 Bi 0.0000 0.0000 0.5000
4 As 0.0000 0.0000 0.0000
5 Ir 0.5000 0.5000 0.5000

No. 3
Simulated powder XRD pattern
Compound: ZrGaCoIr
Radiation: Cu Ka
Structure: the PBE geometry in Alexandria
Lines closer than 0.1° are merged.

The 8 most intense peaks (2θ from 5° to 70°), low angle first:
2theta, I (rel.)
24.82, 32
40.04, 100
43.16, 40
44.81, 7
50.42, 10
52.87, 11
62.68, 13
63.97, 5

Atomic structure:
Lattice parameters (Å, degrees): 4.5588 4.5588 4.5588 125.25 125.25 81.13
Positions (direct):
1 Zr 0.0000 0.0000 0.0000
2 Ga 0.5000 0.5000 0.0000
3 Co 0.7500 0.2500 0.5000
4 Ir 0.2500 0.7500 0.5000

No. 4
Simulated powder XRD pattern
Compound: KIn3Pb9
Radiation: Cu Ka
Structure: the PBE geometry in Alexandria
Lines closer than 0.1° are merged.

The 8 most intense peaks (2θ from 5° to 70°), low angle first:
2theta, I (rel.)
10.84, 44
28.28, 36
30.94, 80
31.12, 95
32.11, 39
34.60, 39
34.81, 100
35.91, 64

Atomic structure:
Lattice parameters (Å, degrees): 8.7898 8.7898 8.6756 97.09 97.09 137.91
Positions (direct):
1 K 0.0000 0.0000 0.0000
2 In 0.0000 0.5000 0.0000
3 In 0.5000 0.0000 0.0000
4 In 0.5000 0.5000 0.5000
5 Pb 0.0000 0.0000 0.5000
6 Pb 0.0004 0.3590 0.3549
7 Pb 0.9996 0.6410 0.6451
8 Pb 0.2865 0.5048 0.7860
9 Pb 0.3590 0.0004 0.3549
10 Pb 0.4952 0.7135 0.2140
11 Pb 0.5048 0.2865 0.7860
12 Pb 0.6410 0.9996 0.6451
13 Pb 0.7135 0.4952 0.2140

No. 5
Simulated powder XRD pattern
Compound: LaCSeBr2
Radiation: Cu Ka
Structure: the PBE geometry in Alexandria
Lines closer than 0.1° are merged.

The 8 most intense peaks (2θ from 5° to 70°), low angle first:
2theta, I (rel.)
31.97, 100
32.64, 27
39.13, 32
51.85, 28
56.54, 11
57.82, 18
66.44, 24
66.83, 13

Atomic structure:
Lattice parameters (Å, degrees): 4.6038 4.6038 5.4870 90.00 90.00 90.00
Positions (direct):
1 La 0.0000 0.0000 0.0000
2 C 0.0000 0.0000 0.5000
3 Se 0.5000 0.5000 0.0000
4 Br 0.0000 0.5000 0.5000
5 Br 0.5000 0.0000 0.5000

No. 6
Simulated powder XRD pattern
Compound: LiPmSb3
Radiation: Cu Ka
Structure: the PBE geometry in Alexandria
Lines closer than 0.1° are merged.

The 8 most intense peaks (2θ from 5° to 70°), low angle first:
2theta, I (rel.)
6.47, 57
28.19, 51
31.12, 54
32.19, 100
33.24, 38
34.49, 47
41.67, 52
49.34, 38

Atomic structure:
Lattice parameters (Å, degrees): 13.6579 6.0883 6.3368 90.00 90.00 90.00
Positions (direct):
1 Li 0.1052 0.2500 0.0000
2 Li 0.1052 0.2500 0.5000
3 Li 0.8948 0.7500 0.0000
4 Li 0.8948 0.7500 0.5000
5 Pm 0.3165 0.5092 0.2500
6 Pm 0.3165 0.9908 0.7500
7 Pm 0.6835 0.0092 0.2500
8 Pm 0.6835 0.4908 0.7500
9 Sb 0.0811 0.7099 0.2500
10 Sb 0.0811 0.7901 0.7500
11 Sb 0.2495 0.0022 0.2500
12 Sb 0.2495 0.4978 0.7500
13 Sb 0.4967 0.2500 0.0000
14 Sb 0.4967 0.2500 0.5000
15 Sb 0.5033 0.7500 0.0000
16 Sb 0.5033 0.7500 0.5000
17 Sb 0.7505 0.5022 0.2500
18 Sb 0.7505 0.9978 0.7500
19 Sb 0.9189 0.2099 0.2500
20 Sb 0.9189 0.2901 0.7500

What did the second record say?
Simulated powder XRD pattern
Compound: Mg2BiAsIr
Radiation: Cu Ka
Structure: the PBE geometry in Alexandria
Lines closer than 0.1° are merged.

The 8 most intense peaks (2θ from 5° to 70°), low angle first:
2theta, I (rel.)
15.65, 62
26.64, 95
31.04, 100
31.60, 48
38.03, 59
41.79, 59
50.25, 53
64.39, 26

Atomic structure:
Lattice parameters (Å, degrees): 4.7324 4.7324 5.6623 90.00 90.00 90.00
Positions (direct):
1 Mg 0.0000 0.5000 0.0000
2 Mg 0.5000 0.0000 0.0000
3 Bi 0.0000 0.0000 0.5000
4 As 0.0000 0.0000 0.0000
5 Ir 0.5000 0.5000 0.5000

Copy entry 6 word for word.
Simulated powder XRD pattern
Compound: LiPmSb3
Radiation: Cu Ka
Structure: the PBE geometry in Alexandria
Lines closer than 0.1° are merged.

The 8 most intense peaks (2θ from 5° to 70°), low angle first:
2theta, I (rel.)
6.47, 57
28.19, 51
31.12, 54
32.19, 100
33.24, 38
34.49, 47
41.67, 52
49.34, 38

Atomic structure:
Lattice parameters (Å, degrees): 13.6579 6.0883 6.3368 90.00 90.00 90.00
Positions (direct):
1 Li 0.1052 0.2500 0.0000
2 Li 0.1052 0.2500 0.5000
3 Li 0.8948 0.7500 0.0000
4 Li 0.8948 0.7500 0.5000
5 Pm 0.3165 0.5092 0.2500
6 Pm 0.3165 0.9908 0.7500
7 Pm 0.6835 0.0092 0.2500
8 Pm 0.6835 0.4908 0.7500
9 Sb 0.0811 0.7099 0.2500
10 Sb 0.0811 0.7901 0.7500
11 Sb 0.2495 0.0022 0.2500
12 Sb 0.2495 0.4978 0.7500
13 Sb 0.4967 0.2500 0.0000
14 Sb 0.4967 0.2500 0.5000
15 Sb 0.5033 0.7500 0.0000
16 Sb 0.5033 0.7500 0.5000
17 Sb 0.7505 0.5022 0.2500
18 Sb 0.7505 0.9978 0.7500
19 Sb 0.9189 0.2099 0.2500
20 Sb 0.9189 0.2901 0.7500